# Sr3In3Pt
Simulated XRD peak list, Cu Kα. Input: a cell relaxed with GGA-PBE.
Peak positions follow from Bragg's law for the DFT cell and can differ from measured ones.

Cell and atoms:
abc: 12.4909 4.2907 17.1123
angles: 90.00 106.42 90.00
Space group C2/m (No. 12)
Inequivalent atoms, fractional coordinates:
Sr1 0.0153 0.0000 0.3882 (multiplicity 4)
Sr2 0.1175 0.0000 0.9213 (multiplicity 4)
Sr3 0.2410 0.0000 0.2439 (multiplicity 4)
In1 0.0216 0.5000 0.2338 (multiplicity 4)
In2 0.1053 0.5000 0.0792 (multiplicity 4)
In3 0.1766 0.5000 0.5387 (multiplicity 4)
Pt1 0.2057 0.5000 0.3754 (multiplicity 4)

Largest 12 diffraction maxima, in order of rising 2θ, 2θ = 10–80°:
d/Å  I/Imax
6.223  80
3.110  68
3.027  52
2.987  67
2.736  26
2.655  42
2.610  52
2.589  100
2.145  57
1.988  23
1.657  26
1.647  26